Theoretical PXRD pattern
Compound: RbPa2VO8
Radiation: Cu Kα
Structure: a cell relaxed with GGA+U
Neutral-atom scattering factors, no anomalous dispersion.

Structure:
```
RbPa2VO8
1.0
5.0098 0.0000 0.0000
0.2970 5.0888 0.0000
0.0315 0.0230 7.1245
Rb Pa V O
1 2 1 8
Cartesian
0.0000 0.0000 0.0000
2.6536 2.5430 1.8152
2.6847 2.5688 5.3094
0.0158 0.0115 3.5623
1.2699 4.1736 4.8561
1.2681 4.1728 2.2658
1.5665 1.5734 3.5568
1.6991 1.8965 7.1118
3.6392 3.2153 0.0127
3.7718 3.5384 3.5677
4.0702 0.9391 4.8587
4.0684 0.9382 2.2684
```

Peak list (8 most intense, 10° ≤ 2θ ≤ 80°, low angle first)
- 2θ 17.43, rel. 56
- 2θ 17.73, rel. 52
- 2θ 24.21, rel. 100
- 2θ 25.69, rel. 83
- 2θ 30.63, rel. 83
- 2θ 30.75, rel. 44
- 2θ 30.88, rel. 44
- 2θ 35.24, rel. 43

Theoretical PXRD pattern
Compound: Rb2PaWO6
Radiation: Cu Kα
Structure: a cell relaxed with GGA+U
Neutral-atom scattering factors, no anomalous dispersion.

Structure:
```
Rb2PaWO6
1.0
-3.0008 3.0008 4.2697
3.0008 -3.0008 4.2697
3.0008 3.0008 -4.2697
Rb Pa W O
2 1 1 6
Cartesian
3.0008 0.0000 2.1348
0.0000 3.0008 2.1348
0.0000 0.0000 0.0000
0.0000 0.0000 4.2697
1.5250 1.5250 0.0000
1.4758 -1.4758 4.2697
0.0000 0.0000 2.3243
0.0000 0.0000 6.2151
-1.4758 1.4758 4.2697
1.4758 1.4758 4.2697
```

Peak list (8 most intense, 10° ≤ 2θ ≤ 80°, low angle first)
- 2θ 20.93, rel. 19
- 2θ 29.71, rel. 100
- 2θ 42.34, rel. 10
- 2θ 42.61, rel. 19
- 2θ 52.61, rel. 14
- 2θ 52.79, rel. 28
- 2θ 61.63, rel. 12
- 2θ 70.10, rel. 12